No. 1
Diffraction record for La2Pm4SmTh. The powder diffractogram is theoretical, not measured: it uses a cell relaxed with GGA-PBE and λ = 1.5418 Å (Cu Kα).

Cell and atoms:
a b c (Å): 5.1915 5.1915 10.2967
angles (deg): 90.00 90.00 90.00
Space group P4/mmm (No. 123)
Inequivalent atoms, fractional coordinates:
La  0.0000  0.0000  0.0000 (multiplicity 1)
La  0.5000  0.5000  0.5000 (multiplicity 1)
Pm  0.0000  0.5000  0.2440 (multiplicity 4)
Sm  0.0000  0.0000  0.5000 (multiplicity 1)
Th  0.5000  0.5000  0.0000 (multiplicity 1)

Largest 10 diffraction maxima, most intense first, 10 to 80 degrees two-theta:
d/Å  2θ/deg  Rel. int.  index
2.989  29.89  100.0  1 1 2
2.596  34.55  34.2  2 0 0
1.564  59.06  29.3  3 1 2
1.828  49.89  24.1  2 0 4
2.574  34.85  16.5  0 0 4
1.555  59.46  14.1  1 1 6
1.494  62.11  12.5  2 2 4
1.835  49.67  12.3  2 2 0
1.298  72.88  3.9  4 0 0
1.287  73.59  1.9  0 0 8


No. 2
Diffraction record for Ce3OsCl3. The powder diffractogram is theoretical, not measured: it uses a cell relaxed with GGA-PBE and λ = 1.5418 Å (Cu Kα).

Cell and atoms:
a b c (Å): 8.5903 4.0905 11.6404
angles (deg): 90.00 94.02 90.00
Space group P2_1/m (No. 11)
Inequivalent atoms, fractional coordinates:
Ce  0.1029  0.2500  0.3828 (multiplicity 2)
Ce  0.1345  0.2500  0.8580 (multiplicity 2)
Ce  0.3413  0.7500  0.6286 (multiplicity 2)
Os  0.1235  0.2500  0.6268 (multiplicity 2)
Cl  0.1086  0.2500  0.1172 (multiplicity 2)
Cl  0.3702  0.7500  0.8789 (multiplicity 2)
Cl  0.3860  0.7500  0.3749 (multiplicity 2)

Largest 10 diffraction maxima, most intense first, 10 to 80 degrees two-theta:
d/Å  2θ/deg  Rel. int.  index
2.959  30.21  100.0  2 1 0
8.569  10.32  67.5  1 0 0
2.903  30.80  55.6  0 0 4
7.138  12.40  42.8  1 0 -1
2.124  42.56  34.7  2 1 -4
2.024  44.79  33.8  2 1 4
2.045  44.29  18.1  0 2 0
1.672  54.91  18.1  0 2 4
2.142  42.18  16.6  4 0 0
2.322  38.78  15.9  3 1 -1


No. 3
Diffraction record for HoErMg3. The powder diffractogram is theoretical, not measured: it uses a cell relaxed with GGA-PBE and λ = 1.5418 Å (Cu Kα).

Cell and atoms:
a b c (Å): 6.1589 6.1589 24.6614
angles (deg): 90.00 90.00 120.00
Space group R-3m (No. 166, hexagonal axes)
Inequivalent atoms, fractional coordinates:
Ho  0.0000  0.0000  0.1648 (multiplicity 6)
Er  0.0000  0.0000  0.4328 (multiplicity 6)
Mg  0.0067  0.5033  0.3821 (multiplicity 18)

Largest 10 diffraction maxima, most intense first, 10 to 80 degrees two-theta:
d/Å  2θ/deg  Rel. int.  index
3.079  29.00  100.0  1 1 0
2.884  31.01  95.6  1 1 3
8.220  10.76  92.5  0 0 3
2.940  30.41  70.2  1 0 7
2.669  33.58  47.4  0 1 8
3.621  24.58  30.0  0 1 5
1.750  52.28  29.7  2 1 7
2.346  38.37  26.0  2 0 5
1.687  54.38  24.5  1 2 8
1.450  64.22  24.1  1 1 15


Copy entry 1 word for word.
Diffraction record for La2Pm4SmTh. The powder diffractogram is theoretical, not measured: it uses a cell relaxed with GGA-PBE and λ = 1.5418 Å (Cu Kα).

Cell and atoms:
a b c (Å): 5.1915 5.1915 10.2967
angles (deg): 90.00 90.00 90.00
Space group P4/mmm (No. 123)
Inequivalent atoms, fractional coordinates:
La  0.0000  0.0000  0.0000 (multiplicity 1)
La  0.5000  0.5000  0.5000 (multiplicity 1)
Pm  0.0000  0.5000  0.2440 (multiplicity 4)
Sm  0.0000  0.0000  0.5000 (multiplicity 1)
Th  0.5000  0.5000  0.0000 (multiplicity 1)

Largest 10 diffraction maxima, most intense first, 10 to 80 degrees two-theta:
d/Å  2θ/deg  Rel. int.  index
2.989  29.89  100.0  1 1 2
2.596  34.55  34.2  2 0 0
1.564  59.06  29.3  3 1 2
1.828  49.89  24.1  2 0 4
2.574  34.85  16.5  0 0 4
1.555  59.46  14.1  1 1 6
1.494  62.11  12.5  2 2 4
1.835  49.67  12.3  2 2 0
1.298  72.88  3.9  4 0 0
1.287  73.59  1.9  0 0 8